[1]
Starting from a crystal structure in Alexandria, relaxed with GGA-PBE, the PXRD pattern of BrO3 was computed for CuKα.

Crystal structure
a = 3.536 Å, b = 8.262 Å, c = 8.262 Å
α = 56.08°, β = 90.00°, γ = 90.00°
Sites, in units of the cell vectors:
Br1 0.000 0.000 0.000
Br2 0.500 0.500 0.500
O1 0.000 0.446 0.446
O2 0.065 0.807 0.660
O3 0.435 0.307 0.160
O4 0.500 0.946 0.946
O5 0.565 0.160 0.307
O6 0.935 0.660 0.807

Principal peaks in the range 2θ from 15° to 90°, low angle first:
2theta  d/Å  I_rel
22.90  3.884  100
24.41  3.646  86
25.99  3.428  56
28.40  3.143  69
33.39  2.684  85
33.72  2.658  56
41.79  2.161  27
43.78  2.068  21
47.36  1.919  22
52.31  1.749  34

---

[2]
Starting from a crystal structure in Alexandria, relaxed with GGA-PBE, the PXRD pattern of TlCdF3 was computed for CuKα.

Crystal structure
a = 7.427 Å, b = 7.427 Å, c = 3.534 Å
α = 90.09°, β = 90.09°, γ = 68.92°
Sites, in units of the cell vectors:
Tl1 0.000 0.000 0.000
Tl2 0.500 0.500 0.357
Cd1 0.000 0.500 0.507
Cd2 0.500 0.000 0.507
F1 0.162 0.571 0.006
F2 0.182 0.182 0.504
F3 0.429 0.838 0.005
F4 0.571 0.162 0.006
F5 0.818 0.818 0.504
F6 0.838 0.429 0.005

Principal peaks in the range 2θ from 15° to 90°, low angle first:
2theta  d/Å  I_rel
25.71  3.465  100
28.35  3.148  46
29.17  3.061  55
35.25  2.546  40
36.31  2.474  14
41.80  2.161  22
43.05  2.101  17
44.70  2.027  20
49.65  1.836  18
52.84  1.732  23

---

[3]
Starting from a crystal structure in Alexandria, relaxed with GGA-PBE, the PXRD pattern of ZrNiPtRh was computed for CuKα.

Crystal structure
a = 3.873 Å, b = 3.903 Å, c = 4.044 Å
α = 90.00°, β = 90.00°, γ = 90.00°
Sites, in units of the cell vectors:
Zr1 0.000 0.000 0.000
Ni1 0.000 0.500 0.500
Pt1 0.500 0.000 0.500
Rh1 0.500 0.500 0.000

Principal peaks in the range 2θ from 15° to 90°, low angle first:
2theta  d/Å  I_rel
39.64  2.273  100
44.83  2.022  18
46.53  1.952  16
46.92  1.936  15
66.60  1.404  11
66.91  1.398  10
79.14  1.210  13
81.61  1.180  12
82.19  1.173  12
85.40  1.137  11

---

[4]
Starting from a crystal structure in Alexandria, relaxed with GGA-PBE, the PXRD pattern of Er3SiB4 was computed for CuKα.

Crystal structure
a = 7.254 Å, b = 7.254 Å, c = 7.254 Å
α = 149.19°, β = 141.11°, γ = 50.42°
Sites, in units of the cell vectors:
Er1 0.000 0.000 0.000
Er2 0.313 0.813 0.500
Er3 0.687 0.187 0.500
Si1 0.500 0.500 0.000
B1 0.047 0.380 0.667
B2 0.288 0.620 0.667
B3 0.712 0.380 0.333
B4 0.953 0.620 0.333

Principal peaks in the range 2θ from 15° to 90°, low angle first:
2theta  d/Å  I_rel
24.06  3.698  33
27.51  3.243  80
32.71  2.738  100
37.23  2.415  25
41.62  2.170  31
44.82  2.022  18
47.16  1.927  15
55.46  1.657  24
57.06  1.614  21
64.69  1.441  20

---

[5]
Starting from a crystal structure in Alexandria, relaxed with GGA-PBE, the PXRD pattern of K5Ti2Se6 was computed for CuKα.

Crystal structure
a = 7.774 Å, b = 7.774 Å, c = 17.220 Å
α = 100.28°, β = 100.28°, γ = 64.65°
Sites, in units of the cell vectors:
K1 0.144 0.856 0.750
K2 0.187 0.710 0.001
K3 0.230 0.450 0.272
K4 0.290 0.813 0.499
K5 0.450 0.230 0.772
K6 0.550 0.770 0.228
K7 0.710 0.187 0.501
K8 0.770 0.550 0.728
K9 0.813 0.290 0.999
K10 0.856 0.144 0.250
Ti1 0.139 0.406 0.571
Ti2 0.406 0.139 0.071
Ti3 0.594 0.861 0.929
Ti4 0.861 0.594 0.429
Se1 0.104 0.181 0.640
Se2 0.154 0.287 0.428
Se3 0.181 0.104 0.140
Se4 0.287 0.154 0.928
Se5 0.406 0.479 0.627
Se6 0.479 0.406 0.127
Se7 0.521 0.594 0.873
Se8 0.594 0.521 0.373
Se9 0.713 0.846 0.072
Se10 0.819 0.896 0.860
Se11 0.846 0.713 0.572
Se12 0.896 0.819 0.360

Principal peaks in the range 2θ from 15° to 90°, low angle first:
2theta  d/Å  I_rel
15.53  5.708  51
21.38  4.156  82
24.94  3.571  63
25.70  3.466  64
27.48  3.246  100
28.52  3.130  89
30.22  2.957  93
31.32  2.856  57
38.71  2.326  61
41.27  2.188  63

---

[6]
Starting from a crystal structure in Alexandria, relaxed with GGA-PBE, the PXRD pattern of PaAl12Cu4 was computed for CuKα.

Crystal structure
a = 7.403 Å, b = 7.403 Å, c = 7.403 Å
α = 109.47°, β = 109.47°, γ = 109.47°
Sites, in units of the cell vectors:
Pa1 0.000 0.000 0.000
Al1 0.162 0.504 0.342
Al2 0.162 0.820 0.658
Al3 0.180 0.342 0.838
Al4 0.342 0.162 0.504
Al5 0.342 0.838 0.180
Al6 0.496 0.658 0.838
Al7 0.504 0.342 0.162
Al8 0.658 0.162 0.820
Al9 0.658 0.838 0.496
Al10 0.820 0.658 0.162
Al11 0.838 0.180 0.342
Al12 0.838 0.496 0.658
Cu1 0.000 0.000 0.500
Cu2 0.000 0.500 0.000
Cu3 0.500 0.000 0.000
Cu4 0.500 0.500 0.500

Principal peaks in the range 2θ from 15° to 90°, low angle first:
2theta  d/Å  I_rel
25.53  3.490  60
29.56  3.022  100
33.14  2.703  86
39.44  2.285  85
42.29  2.137  23
52.44  1.745  72
54.76  1.676  45
67.55  1.387  19
69.56  1.352  24
84.89  1.142  18

---

[7]
Starting from a crystal structure in Alexandria, relaxed with GGA-PBE, the PXRD pattern of Mg4CdAu7 was computed for CuKα.

Crystal structure
a = 5.981 Å, b = 5.981 Å, c = 10.127 Å
α = 117.16°, β = 117.16°, γ = 51.11°
Sites, in units of the cell vectors:
Mg1 0.094 0.094 0.277
Mg2 0.268 0.268 0.846
Mg3 0.732 0.732 0.154
Mg4 0.906 0.906 0.723
Cd1 0.500 0.500 0.500
Au1 0.000 0.000 0.500
Au2 0.136 0.136 0.023
Au3 0.286 0.286 0.591
Au4 0.431 0.431 0.170
Au5 0.569 0.569 0.830
Au6 0.714 0.714 0.409
Au7 0.864 0.864 0.977

Principal peaks in the range 2θ from 15° to 90°, low angle first:
2theta  d/Å  I_rel
20.33  4.368  28
24.65  3.612  100
34.50  2.599  46
34.78  2.580  58
35.13  2.554  21
39.47  2.283  53
40.56  2.224  28
40.79  2.212  20
41.28  2.187  24
49.80  1.831  34

---

[8]
Starting from a crystal structure in Alexandria, relaxed with GGA-PBE, the PXRD pattern of NaScFe was computed for CuKα.

Crystal structure
a = 3.147 Å, b = 3.147 Å, c = 13.341 Å
α = 90.00°, β = 90.11°, γ = 90.00°
Sites, in units of the cell vectors:
Na1 0.247 0.250 0.116
Na2 0.753 0.750 0.884
Sc1 0.252 0.250 0.666
Sc2 0.748 0.750 0.334
Fe1 0.249 0.250 0.454
Fe2 0.751 0.750 0.546

Principal peaks in the range 2θ from 15° to 90°, low angle first:
2theta  d/Å  I_rel
31.43  2.846  24
34.93  2.569  76
39.37  2.289  97
40.54  2.225  100
41.13  2.195  42
44.52  2.035  66
50.23  1.816  32
58.68  1.573  32
70.15  1.342  18
72.95  1.297  20

---

[9]
Starting from a crystal structure in Alexandria, relaxed with GGA-PBE, the PXRD pattern of AcGa2SiPt4 was computed for CuKα.

Crystal structure
a = 9.505 Å, b = 9.505 Å, c = 9.505 Å
α = 26.39°, β = 26.39°, γ = 26.39°
Sites, in units of the cell vectors:
Ac1 0.000 0.000 0.000
Ga1 0.246 0.246 0.246
Ga2 0.754 0.754 0.754
Si1 0.500 0.500 0.500
Pt1 0.141 0.141 0.141
Pt2 0.412 0.412 0.412
Pt3 0.588 0.588 0.588
Pt4 0.859 0.859 0.859

Principal peaks in the range 2θ from 15° to 90°, low angle first:
2theta  d/Å  I_rel
28.77  3.103  41
32.98  2.716  96
35.38  2.537  36
41.63  2.170  100
43.47  2.082  23
54.10  1.695  24
58.58  1.576  20
66.80  1.401  14
70.50  1.336  22
75.97  1.253  17

---

[10]
Starting from a crystal structure in Alexandria, relaxed with GGA-PBE, the PXRD pattern of AcGeHRh was computed for CuKα.

Crystal structure
a = 4.245 Å, b = 4.245 Å, c = 8.315 Å
α = 90.00°, β = 90.00°, γ = 90.00°
Sites, in units of the cell vectors:
Ac1 0.250 0.250 0.172
Ac2 0.750 0.750 0.828
Ge1 0.250 0.250 0.660
Ge2 0.750 0.750 0.340
H1 0.250 0.750 0.000
H2 0.750 0.250 0.000
Rh1 0.250 0.750 0.500
Rh2 0.750 0.250 0.500

Principal peaks in the range 2θ from 15° to 90°, low angle first:
2theta  d/Å  I_rel
23.53  3.781  49
29.77  3.002  29
30.09  2.970  100
31.69  2.823  39
32.30  2.772  20
36.94  2.434  64
42.60  2.122  51
48.78  1.867  29
53.03  1.727  42
66.73  1.402  23

---

[11]
Starting from a crystal structure in Alexandria, relaxed with GGA-PBE, the PXRD pattern of CdPtS2O8 was computed for CuKα.

Crystal structure
a = 5.211 Å, b = 5.211 Å, c = 6.954 Å
α = 90.00°, β = 90.00°, γ = 120.00°
Sites, in units of the cell vectors:
Cd1 0.000 0.000 0.000
Pt1 0.000 0.000 0.500
S1 0.333 0.667 0.197
S2 0.667 0.333 0.803
O1 0.175 0.350 0.265
O2 0.175 0.825 0.265
O3 0.333 0.667 0.986
O4 0.350 0.175 0.735
O5 0.650 0.825 0.265
O6 0.667 0.333 0.014
O7 0.825 0.175 0.735
O8 0.825 0.650 0.735

Principal peaks in the range 2θ from 15° to 90°, low angle first:
2theta  d/Å  I_rel
19.67  4.513  100
23.50  3.786  37
32.51  2.754  78
34.42  2.606  50
43.40  2.085  38
48.07  1.893  36
53.73  1.706  16
56.75  1.622  15
60.45  1.531  24
78.57  1.218  13

---

[12]
Starting from a crystal structure in Alexandria, relaxed with GGA-PBE, the PXRD pattern of Na4B5C3 was computed for CuKα.

Crystal structure
a = 5.003 Å, b = 5.696 Å, c = 8.993 Å
α = 80.87°, β = 73.86°, γ = 90.00°
Sites, in units of the cell vectors:
Na1 0.000 0.000 0.000
Na2 0.000 0.500 0.000
Na3 0.251 0.125 0.500
Na4 0.251 0.626 0.498
Na5 0.500 0.250 0.000
Na6 0.500 0.750 0.000
Na7 0.749 0.374 0.502
Na8 0.749 0.875 0.500
B1 0.030 0.676 0.250
B2 0.031 0.199 0.249
B3 0.215 0.938 0.250
B4 0.445 0.062 0.749
B5 0.461 0.563 0.750
B6 0.539 0.437 0.250
B7 0.555 0.938 0.251
B8 0.785 0.062 0.750
B9 0.969 0.801 0.751
B10 0.970 0.324 0.750
C1 0.210 0.438 0.249
C2 0.290 0.317 0.749
C3 0.290 0.808 0.750
C4 0.710 0.192 0.250
C5 0.710 0.683 0.251
C6 0.790 0.562 0.751

Principal peaks in the range 2θ from 15° to 90°, low angle first:
2theta  d/Å  I_rel
35.90  2.502  10
36.30  2.475  17
41.88  2.157  49
42.23  2.140  100
42.44  2.130  38
57.05  1.614  10
64.78  1.439  17
65.56  1.424  8
77.50  1.232  13
80.55  1.192  17